Starting from DFT lattice parameters and positions (GGA-PBE), the PXRD pattern of Fe6Co was computed for CuKα.
Lines closer than 0.1° are merged.

Principal peaks in the range 10° ≤ 2θ ≤ 90°, sorted by position:
2theta  I (rel.)
44.99  100
45.12  50
65.31  7
65.65  7
82.92  14
83.19  28

Structure:
a b c (Å): 8.993 2.857 6.351
angles (deg): 90.00 98.20 90.00
Space group C2/m (No. 12)
Unique sites:
1 Fe 0.071 0.000 0.215 [4 per cell]
2 Fe 0.144 0.500 0.929 [4 per cell]
3 Fe 0.213 0.000 0.642 [4 per cell]
4 Co 0.000 0.500 0.500 [2 per cell]

***

Starting from DFT lattice parameters and positions (GGA-PBE), the PXRD pattern of Fe4Co3 was computed for CuKα.
Lines closer than 0.1° are merged.

Principal peaks in the range 10° ≤ 2θ ≤ 90°, sorted by position:
2theta  I (rel.)
45.06  100
45.26  49
65.32  7
65.94  15
83.02  14
83.45  28

Structure:
a b c (Å): 2.833 2.833 20.001
angles (deg): 90.00 90.00 90.00
Space group I4mm (No. 107)
Unique sites:
1 Fe 0.000 0.000 0.000 [2 per cell]
2 Fe 0.000 0.000 0.143 [2 per cell]
3 Fe 0.000 0.000 0.288 [2 per cell]
4 Fe 0.000 0.000 0.715 [2 per cell]
5 Co 0.000 0.000 0.431 [2 per cell]
6 Co 0.000 0.000 0.572 [2 per cell]
7 Co 0.000 0.000 0.857 [2 per cell]

***

Starting from DFT lattice parameters and positions (GGA-PBE), the PXRD pattern of Fe6Co was computed for CuKα.
Lines closer than 0.1° are merged.

Principal peaks in the range 10° ≤ 2θ ≤ 90°, sorted by position:
2theta  I (rel.)
45.05  100
65.42  5
65.69  10
83.00  10
83.19  19

Structure:
a b c (Å): 2.843 2.843 19.973
angles (deg): 90.00 90.00 90.00
Space group I4/mmm (No. 139)
Unique sites:
1 Fe 0.000 0.000 0.071 [4 per cell]
2 Fe 0.000 0.000 0.214 [4 per cell]
3 Fe 0.000 0.000 0.357 [4 per cell]
4 Co 0.000 0.000 0.500 [2 per cell]

***

Starting from DFT lattice parameters and positions (GGA-PBE), the PXRD pattern of Fe3Co was computed for CuKα.
Lines closer than 0.1° are merged.

Principal peaks in the range 10° ≤ 2θ ≤ 90°, sorted by position:
2theta  I (rel.)
45.02  100
45.11  20
65.59  18
83.02  17
83.20  17

Structure:
a b c (Å): 2.847 4.019 16.128
angles (deg): 90.00 90.00 90.00
Space group Imma (No. 74)
Unique sites:
1 Fe 0.000 0.250 0.063 [4 per cell]
2 Fe 0.000 0.250 0.313 [4 per cell]
3 Fe 0.000 0.250 0.563 [4 per cell]
4 Co 0.000 0.250 0.812 [4 per cell]

***

Starting from DFT lattice parameters and positions (GGA-PBE), the PXRD pattern of Fe3Co was computed for CuKα.
Lines closer than 0.1° are merged.

Principal peaks in the range 10° ≤ 2θ ≤ 90°, sorted by position:
2theta  I (rel.)
45.10  100
45.25  50
65.47  7
65.92  15
83.15  14
83.46  28

Structure:
a b c (Å): 2.834 2.834 11.406
angles (deg): 90.00 90.00 90.00
Space group P4/nmm (No. 129, origin choice 2)
Unique sites:
1 Fe 0.250 0.250 0.063 [2 per cell]
2 Fe 0.250 0.250 0.314 [2 per cell]
3 Fe 0.250 0.250 0.813 [2 per cell]
4 Co 0.250 0.250 0.564 [2 per cell]

***

Starting from DFT lattice parameters and positions (GGA-PBE), the PXRD pattern of Fe5Co2 was computed for CuKα.
Lines closer than 0.1° are merged.

Principal peaks in the range 10° ≤ 2θ ≤ 90°, sorted by position:
2theta  I (rel.)
45.09  50
45.23  100
65.66  15
66.11  7
83.32  29
83.63  14

Structure:
a b c (Å): 2.827 4.023 28.140
angles (deg): 90.00 90.00 90.00
Space group Fmmm (No. 69)
Unique sites:
1 Fe 0.000 0.000 0.000 [4 per cell]
2 Fe 0.000 0.000 0.144 [8 per cell]
3 Fe 0.000 0.000 0.428 [8 per cell]
4 Co 0.000 0.000 0.285 [8 per cell]

***

Starting from DFT lattice parameters and positions (GGA-PBE), the PXRD pattern of Fe5Co2 was computed for CuKα.
Lines closer than 0.1° are merged.

Principal peaks in the range 10° ≤ 2θ ≤ 90°, sorted by position:
2theta  I (rel.)
44.96  100
45.07  50
65.28  7
65.64  15
82.85  14
83.10  28

Structure:
a b c (Å): 2.845 2.845 20.010
angles (deg): 90.00 90.00 90.00
Space group I4/mmm (No. 139)
Unique sites:
1 Fe 0.000 0.000 0.000 [2 per cell]
2 Fe 0.000 0.000 0.142 [4 per cell]
3 Fe 0.000 0.000 0.285 [4 per cell]
4 Co 0.000 0.000 0.429 [4 per cell]

***

Starting from DFT lattice parameters and positions (GGA-PBE), the PXRD pattern of Fe4Co3 was computed for CuKα.
Lines closer than 0.1° are merged.

Principal peaks in the range 10° ≤ 2θ ≤ 90°, sorted by position:
2theta  I (rel.)
45.13  100
65.73  15
83.28  22
83.39  7

Structure:
a b c (Å): 4.0203 4.0203 17.2069
angles (deg): 90.00 90.00 120.00
Space group R3m (No. 160, hexagonal axes)
Unique sites:
1 Fe 0.0000 0.0000 0.0000 [3 per cell]
2 Fe 0.0000 0.0000 0.1424 [3 per cell]
3 Fe 0.0000 0.0000 0.5714 [3 per cell]
4 Fe 0.0000 0.0000 0.8566 [3 per cell]
5 Co 0.0000 0.0000 0.2858 [3 per cell]
6 Co 0.0000 0.0000 0.4298 [3 per cell]
7 Co 0.0000 0.0000 0.7130 [3 per cell]

***

Starting from DFT lattice parameters and positions (GGA-PBE), the PXRD pattern of Fe5Co3 was computed for CuKα.
Lines closer than 0.1° are merged.

Principal peaks in the range 10° ≤ 2θ ≤ 90°, sorted by position:
2theta  I (rel.)
45.02  100
65.57  15
83.08  29

Structure:
a b c (Å): 4.931 8.056 4.932
angles (deg): 90.00 109.46 90.00
Space group C2 (No. 5)
Unique sites:
1 Fe 0.000 0.000 0.000 [2 per cell]
2 Fe 0.000 0.003 0.500 [2 per cell]
3 Fe 0.000 0.498 0.500 [2 per cell]
4 Fe 0.250 0.251 0.249 [4 per cell]
5 Co 0.000 0.498 0.000 [2 per cell]
6 Co 0.249 0.751 0.251 [4 per cell]

***

Starting from DFT lattice parameters and positions (GGA-PBE), the PXRD pattern of FeCo was computed for CuKα.
Lines closer than 0.1° are merged.

Principal peaks in the range 10° ≤ 2θ ≤ 90°, sorted by position:
2theta  I (rel.)
45.09  100
45.25  66
45.34  33
65.88  19
83.10  14
83.52  19

Structure:
a b c (Å): 2.467 4.698 6.169
angles (deg): 78.18 82.28 79.96
Space group P1 (No. 1)
Unique sites:
1 Fe 0.000 0.000 0.000 [1 per cell]
2 Fe 0.168 0.166 0.337 [1 per cell]
3 Fe 0.505 0.499 0.001 [1 per cell]
4 Co 0.328 0.333 0.668 [1 per cell]
5 Co 0.668 0.667 0.333 [1 per cell]
6 Co 0.844 0.832 0.668 [1 per cell]

***

Starting from DFT lattice parameters and positions (GGA-PBE), the PXRD pattern of Fe4Co3 was computed for CuKα.
Lines closer than 0.1° are merged.

Principal peaks in the range 10° ≤ 2θ ≤ 90°, sorted by position:
2theta  I (rel.)
45.08  100
65.65  15
83.19  24
83.25  5

Structure:
a b c (Å): 8.539 4.020 4.716
angles (deg): 90.00 95.74 90.00
Space group Cm (No. 8)
Unique sites:
1 Fe 0.000 0.000 0.000 [2 per cell]
2 Fe 0.071 0.500 0.286 [2 per cell]
3 Fe 0.145 0.000 0.575 [2 per cell]
4 Fe 0.357 0.500 0.430 [2 per cell]
5 Co 0.216 0.500 0.857 [2 per cell]
6 Co 0.286 0.000 0.148 [2 per cell]
7 Co 0.429 0.000 0.715 [2 per cell]

***

Starting from DFT lattice parameters and positions (GGA-PBE), the PXRD pattern of Fe5Co3 was computed for CuKα.
Lines closer than 0.1° are merged.

Principal peaks in the range 10° ≤ 2θ ≤ 90°, sorted by position:
2theta  I (rel.)
44.97  100
45.27  49
65.02  8
82.76  14
83.31  14
83.47  14

Structure:
a b c (Å): 2.829 5.675 5.737
angles (deg): 90.00 90.00 90.00
Space group Pmm2 (No. 25)
Unique sites:
1 Fe 0.000 0.000 0.000 [1 per cell]
2 Fe 0.000 0.000 0.496 [1 per cell]
3 Fe 0.000 0.500 0.494 [1 per cell]
4 Fe 0.500 0.252 0.751 [2 per cell]
5 Co 0.000 0.500 0.996 [1 per cell]
6 Co 0.500 0.250 0.250 [2 per cell]

***

Starting from DFT lattice parameters and positions (GGA-PBE), the PXRD pattern of Fe5Co3 was computed for CuKα.
Lines closer than 0.1° are merged.

Principal peaks in the range 10° ≤ 2θ ≤ 90°, sorted by position:
2theta  I (rel.)
45.06  100
65.62  15
83.14  21
83.19  7

Structure:
a b c (Å): 4.0228 4.0228 19.7305
angles (deg): 90.00 90.00 120.00
Space group R3m (No. 160, hexagonal axes)
Unique sites:
1 Fe 0.0000 0.0000 0.0000 [3 per cell]
2 Fe 0.0000 0.0000 0.1242 [3 per cell]
3 Fe 0.0000 0.0000 0.2506 [3 per cell]
4 Fe 0.0000 0.0000 0.5003 [3 per cell]
5 Fe 0.0000 0.0000 0.8742 [3 per cell]
6 Co 0.0000 0.0000 0.3745 [3 per cell]
7 Co 0.0000 0.0000 0.6252 [3 per cell]
8 Co 0.0000 0.0000 0.7506 [3 per cell]

***

Starting from DFT lattice parameters and positions (GGA-PBE), the PXRD pattern of Fe2Co3 was computed for CuKα.
Lines closer than 0.1° are merged.

Principal peaks in the range 10° ≤ 2θ ≤ 90°, sorted by position:
2theta  I (rel.)
45.11  100
45.59  24
45.84  24
66.64  14
83.95  14
84.31  14

Structure:
a b c (Å): 2.879 3.959 19.899
angles (deg): 90.00 90.00 90.00
Space group Fmmm (No. 69)
Unique sites:
1 Fe 0.000 0.000 0.199 [8 per cell]
2 Co 0.000 0.000 0.000 [4 per cell]
3 Co 0.000 0.000 0.401 [8 per cell]